Li4Ni3TeO8: simulated XRD peak list (Cu Ka), based on a structure optimized by DFT (PBE+U).
Intensities are scaled so that the largest is 100.

Atomic structure:
```
data_Li4Ni3TeO8
_chemical_formula_sum 'Li12 Ni9 Te3 O24'
_cell_length_a 6.0312
_cell_length_b 6.0312
_cell_length_c 14.5763
_cell_angle_alpha 90.00
_cell_angle_beta 90.00
_cell_angle_gamma 120.00
_symmetry_space_group_name_H-M 'R -3 m'
_symmetry_Int_Tables_number 166
_symmetry_space_group_name_Hall '-R 3 2"'
loop_
_atom_site_label
_atom_site_type_symbol
_atom_site_fract_x
_atom_site_fract_y
_atom_site_fract_z
Li1 Li 0.0000 0.0000 0.0000
Li2 Li 0.0000 0.5000 0.0000
Ni1 Ni 0.0000 0.5000 0.5000
Te1 Te 0.0000 0.0000 0.5000
O1 O 0.0000 0.0000 0.2405
O2 O 0.0252 0.5126 0.2440
```

Top 8 peaks for 2θ = 10–80°, sorted by position:
two_theta	intensity
18.3	100
34.9	50
36.5	23
42.6	70
46.7	19
61.5	21
62.1	20
64.7	18